Diffraction record for Al6CuP4H16O28. The powder XRD pattern is calculated, not measured: it uses the PBE geometry in the Materials Project and CuKα.
Intensities are scaled so that the largest is 100.

Structure:
Unit cell a=7.641 b=8.026 c=10.718 alpha=74.30 beta=69.37 gamma=63.46
Sites, in units of the cell vectors:
Al 0.025 0.225 0.179
Al 0.288 0.756 0.236
Al 0.329 0.177 0.756
Al 0.671 0.823 0.244
Al 0.712 0.244 0.764
Al 0.975 0.775 0.821
Cu 0.500 0.000 0.000
P 0.130 0.585 0.078
P 0.144 0.071 0.600
P 0.856 0.929 0.400
P 0.870 0.415 0.922
H 0.037 0.959 0.093
H 0.067 0.034 0.894
H 0.126 0.675 0.580
H 0.267 0.536 0.677
H 0.312 0.910 0.423
H 0.329 0.286 0.271
H 0.337 0.883 0.901
H 0.392 0.394 0.441
H 0.608 0.606 0.559
H 0.663 0.117 0.099
H 0.671 0.714 0.729
H 0.688 0.090 0.577
H 0.733 0.464 0.323
H 0.874 0.325 0.420
H 0.933 0.966 0.106
H 0.963 0.041 0.907
O 0.073 0.775 0.383
O 0.093 0.318 0.846
O 0.125 0.610 0.672
O 0.146 0.895 0.699
O 0.150 0.660 0.926
O 0.184 0.370 0.104
O 0.205 0.032 0.450
O 0.242 0.999 0.145
O 0.247 0.363 0.345
O 0.273 0.637 0.120
O 0.295 0.141 0.611
O 0.389 0.437 0.347
O 0.419 0.958 0.861
O 0.493 0.722 0.296
O 0.507 0.278 0.704
O 0.581 0.042 0.139
O 0.611 0.563 0.653
O 0.705 0.859 0.389
O 0.727 0.363 0.880
O 0.753 0.637 0.655
O 0.758 0.001 0.855
O 0.795 0.968 0.550
O 0.816 0.630 0.896
O 0.850 0.340 0.074
O 0.854 0.105 0.301
O 0.875 0.390 0.328
O 0.907 0.682 0.154
O 0.927 0.225 0.617

Main lines, in order of rising 2θ (15 to 90 degrees two-theta):
2θ/deg	d [Å]	I/Imax	index
16.27	5.447	25	0 1 -1
18.31	4.845	18	1 1 2
19.51	4.549	14	1 1 -1
23.33	3.813	20	1 2 0
24.21	3.676	100	-1 1 1
24.80	3.591	21	1 2 2
25.39	3.507	19	1 1 3
29.50	3.028	48	2 1 3
32.89	2.724	45	0 2 -2
35.02	2.562	18	2 3 1
35.88	2.503	14	2 1 4
45.70	1.985	13	0 1 5



Diffraction record for Al6CuP4H16O28. The powder XRD pattern is calculated, not measured: it uses the PBE geometry in the Materials Project and CuKα.
Intensities are scaled so that the largest is 100.

Structure:
Unit cell a=7.472 b=7.713 c=10.066 alpha=68.62 beta=69.28 gamma=65.09
Sites, in units of the cell vectors:
Al 0.214 0.321 0.248
Al 0.253 0.685 0.273
Al 0.255 0.998 0.755
Al 0.745 0.002 0.245
Al 0.747 0.315 0.727
Al 0.786 0.679 0.752
Cu 0.500 0.500 0.000
P 0.152 0.111 0.058
P 0.341 0.888 0.456
P 0.659 0.112 0.544
P 0.848 0.889 0.942
H 0.082 0.221 0.569
H 0.112 0.417 0.684
H 0.149 0.680 0.052
H 0.152 0.622 0.591
H 0.355 0.335 0.435
H 0.359 0.555 0.748
H 0.360 0.335 0.837
H 0.480 0.847 0.914
H 0.520 0.153 0.086
H 0.640 0.665 0.163
H 0.641 0.445 0.252
H 0.645 0.665 0.565
H 0.848 0.378 0.409
H 0.851 0.320 0.948
H 0.888 0.583 0.316
H 0.918 0.779 0.431
O 0.037 0.211 0.675
O 0.076 0.867 0.897
O 0.078 0.555 0.687
O 0.182 0.271 0.095
O 0.201 0.097 0.394
O 0.226 0.143 0.888
O 0.232 0.583 0.123
O 0.265 0.425 0.369
O 0.285 0.729 0.432
O 0.286 0.905 0.130
O 0.307 0.846 0.624
O 0.434 0.136 0.619
O 0.438 0.427 0.804
O 0.485 0.782 0.844
O 0.515 0.218 0.156
O 0.562 0.573 0.196
O 0.566 0.864 0.381
O 0.693 0.154 0.376
O 0.714 0.095 0.870
O 0.715 0.271 0.568
O 0.735 0.575 0.631
O 0.768 0.417 0.877
O 0.774 0.857 0.112
O 0.799 0.903 0.606
O 0.818 0.729 0.905
O 0.922 0.445 0.313
O 0.924 0.133 0.103
O 0.963 0.789 0.325

Main lines, in order of rising 2θ (15 to 90 degrees two-theta):
2θ/deg	d [Å]	I/Imax	index
18.41	4.820	18	1 0 -1
23.84	3.733	16	-1 1 1
23.94	3.717	100	1 -1 1
25.83	3.450	55	2 1 0
26.24	3.396	14	0 1 -2
27.09	3.292	27	2 0 0
30.40	2.940	73	1 2 3
30.55	2.926	29	1 2 -1
42.32	2.135	14	1 3 -1
43.31	2.089	19	2 3 4
44.71	2.027	29	3 0 -1
49.45	1.843	16	0 3 -2